The following is a simulated PXRD pattern of Sn2Bi2Pd3. It was derived from a GGA-PBE-relaxed structure, using a wavelength of 1.5418 Å.

Atomic structure:
Cell: 4.2786 6.0146 6.7734 Å, 81.67 72.75 71.40°
Positions (direct):
Sn 0.1545 0.2078 0.4559
Sn 0.8455 0.7922 0.5441
Bi 0.3697 0.2852 0.9059
Bi 0.6303 0.7148 0.0941
Pd 0.1957 0.8710 0.8088
Pd 0.5000 0.5000 0.5000
Pd 0.8043 0.1290 0.1912

Main lines, in order of rising 2θ (2θ from 5° to 70°):
Position (°2θ)  I/Imax
29.71  54
30.66  31
31.32  58
31.44  38
32.66  100
33.70  42
37.95  29
38.43  60
39.01  65
40.72  37
41.72  31
42.29  61

***

The following is a simulated PXRD pattern of Sr2Bi3Pd3. It was derived from a GGA-PBE-relaxed structure, using a wavelength of 1.5418 Å.

Atomic structure:
Cell: 3.2614 3.2614 22.9131 Å, 90.00 90.00 90.00°
Positions (direct):
Sr 0.0000 0.0000 0.2377
Sr 0.0000 0.0000 0.7623
Bi 0.0000 0.0000 0.0000
Bi 0.0000 0.0000 0.3840
Bi 0.0000 0.0000 0.6160
Pd 0.0000 0.0000 0.1180
Pd 0.0000 0.0000 0.5000
Pd 0.0000 0.0000 0.8820

Main lines, in order of rising 2θ (2θ from 5° to 70°):
Position (°2θ)  I/Imax
7.72  26
19.37  10
27.35  100
31.23  30
33.73  11
39.06  39
41.98  54
48.56  9
50.83  31
56.43  13
63.82  19
65.91  14

***

The following is a simulated PXRD pattern of SrBi3Pd. It was derived from a GGA-PBE-relaxed structure, using a wavelength of 1.5418 Å.

Atomic structure:
Cell: 4.6940 6.9107 6.9107 Å, 42.92 90.00 90.00°
Positions (direct):
Sr 0.0000 0.0000 0.0000
Bi 0.0000 0.7184 0.7184
Bi 0.5000 0.2153 0.2153
Bi 0.5000 0.4758 0.4758
Pd 0.0000 0.3349 0.3349

Main lines, in order of rising 2θ (2θ from 5° to 70°):
Position (°2θ)  I/Imax
18.86  19
26.83  54
27.74  30
33.39  100
35.51  31
38.35  27
43.95  24
45.65  16
53.26  20
56.80  15
62.42  17
66.21  14

***

The following is a simulated PXRD pattern of SrBi2Pd6. It was derived from a GGA-PBE-relaxed structure, using a wavelength of 1.5418 Å.

Atomic structure:
Cell: 5.9878 5.9878 5.4377 Å, 95.51 95.51 74.95°
Positions (direct):
Sr 0.0000 0.0000 0.0000
Bi 0.3804 0.3804 0.2135
Bi 0.6196 0.6196 0.7865
Pd 0.0901 0.4680 0.7504
Pd 0.1947 0.8053 0.5000
Pd 0.4680 0.0901 0.7504
Pd 0.5320 0.9099 0.2496
Pd 0.8053 0.1947 0.5000
Pd 0.9099 0.5320 0.2496

Main lines, in order of rising 2θ (2θ from 5° to 70°):
Position (°2θ)  I/Imax
15.37  29
23.50  28
29.58  29
30.98  67
33.53  47
35.67  50
36.38  100
40.46  38
41.41  72
44.24  26
45.83  37
66.35  29

***

The following is a simulated PXRD pattern of Sr3BiPd3. It was derived from a GGA-PBE-relaxed structure, using a wavelength of 1.5418 Å.

Atomic structure:
Cell: 9.3035 9.3035 6.1290 Å, 90.00 90.00 120.00°
Positions (direct):
Sr 0.0621 0.3696 0.2500
Sr 0.3075 0.9379 0.2500
Sr 0.3696 0.3075 0.7500
Sr 0.6304 0.6925 0.2500
Sr 0.6925 0.0621 0.7500
Sr 0.9379 0.6304 0.7500
Bi 0.3333 0.6667 0.7500
Bi 0.6667 0.3333 0.2500
Pd 0.0583 0.3595 0.7500
Pd 0.3013 0.9417 0.7500
Pd 0.3595 0.3013 0.2500
Pd 0.6405 0.6987 0.7500
Pd 0.6987 0.0583 0.2500
Pd 0.9417 0.6405 0.2500

Main lines, in order of rising 2θ (2θ from 5° to 70°):
Position (°2θ)  I/Imax
10.98  45
18.19  77
26.48  23
29.14  78
29.33  49
32.84  37
33.36  100
40.36  19
41.82  37
43.09  21
44.88  87
50.55  19

***

The following is a simulated PXRD pattern of Sr3Bi5Pd6. It was derived from a GGA-PBE-relaxed structure, using a wavelength of 1.5418 Å.

Atomic structure:
Cell: 4.6787 14.2610 10.4576 Å, 90.00 90.00 90.00°
Positions (direct):
Sr 0.2500 0.0725 0.2501
Sr 0.2500 0.4275 0.2501
Sr 0.2500 0.7500 0.2358
Sr 0.7500 0.2500 0.7642
Sr 0.7500 0.5725 0.7499
Sr 0.7500 0.9275 0.7499
Bi 0.2500 0.0767 0.8784
Bi 0.2500 0.4233 0.8784
Bi 0.2500 0.6246 0.5176
Bi 0.2500 0.7500 0.8172
Bi 0.2500 0.8754 0.5176
Bi 0.7500 0.1246 0.4824
Bi 0.7500 0.2500 0.1828
Bi 0.7500 0.3754 0.4824
Bi 0.7500 0.5767 0.1216
Bi 0.7500 0.9233 0.1216
Pd 0.2500 0.0645 0.6081
Pd 0.2500 0.2500 0.0204
Pd 0.2500 0.2500 0.5084
Pd 0.2500 0.4355 0.6081
Pd 0.2500 0.6061 0.9904
Pd 0.2500 0.8939 0.9904
Pd 0.7500 0.1061 0.0096
Pd 0.7500 0.3939 0.0096
Pd 0.7500 0.5645 0.3919
Pd 0.7500 0.7500 0.4916
Pd 0.7500 0.7500 0.9796
Pd 0.7500 0.9355 0.3919

Main lines, in order of rising 2θ (2θ from 5° to 70°):
Position (°2θ)  I/Imax
16.96  23
20.80  18
25.55  15
30.34  15
31.83  100
32.02  29
36.91  20
37.86  29
38.48  46
40.88  26
44.01  38
55.08  17

***

Question: What is the formula in the fourth record?
Answer: SrBi2Pd6